Calculated powder diffractogram of Dy2AgRu for CuKα, from a PBE-relaxed structure.

```
Dy2AgRu
1.0
7.021 0.000 0.000
0.000 7.021 0.000
0.000 0.000 7.021
Dy Ag Ru
8 4 4
direct
0.250 0.250 0.250 Dy
0.250 0.250 0.750 Dy
0.250 0.750 0.250 Dy
0.250 0.750 0.750 Dy
0.750 0.250 0.250 Dy
0.750 0.250 0.750 Dy
0.750 0.750 0.250 Dy
0.750 0.750 0.750 Dy
0.000 0.000 0.000 Ag
0.000 0.500 0.500 Ag
0.500 0.000 0.500 Ag
0.500 0.500 0.000 Ag
0.000 0.000 0.500 Ru
0.000 0.500 0.000 Ru
0.500 0.000 0.000 Ru
0.500 0.500 0.500 Ru
```

Principal peaks in the range 2θ = 10–90°, by angle:
2θ/deg  d_spacing  intensity  hkl
25.4  3.510  5  2 0 0
36.2  2.482  100  2 2 0
52.1  1.755  17  4 0 0
65.1  1.433  35  4 2 2
76.8  1.241  11  4 4 0
88.0  1.110  16  6 2 0